[1]
Diffraction record for BaIn3Au3. The X-ray diffraction stick pattern is computed, not measured: it uses a cell relaxed with PBE and λ = 1.5418 Å (Cu Kα).
Neutral-atom scattering factors, no anomalous dispersion.

Main lines, sorted by position (2θ = 10–90°):
| 2θ/deg | Rel. int. |
| --- | --- |
| 24.25 | 142 |
| 29.15 | 139 |
| 30.87 | 1000 |
| 34.51 | 183 |
| 38.23 | 345 |
| 38.89 | 178 |
| 41.46 | 388 |
| 45.47 | 122 |
| 49.87 | 129 |
| 64.56 | 158 |

Crystal structure
```
BaIn3Au3
1.0
4.708 0.000 0.000
0.000 7.979 0.000
0.000 0.000 9.351
Ba In Au
2 6 6
direct
0.250 0.250 0.232
0.750 0.750 0.768
0.250 0.054 0.613
0.250 0.446 0.613
0.250 0.750 0.132
0.750 0.250 0.868
0.750 0.554 0.387
0.750 0.946 0.387
0.250 0.024 0.911
0.250 0.476 0.911
0.250 0.750 0.449
0.750 0.250 0.551
0.750 0.524 0.089
0.750 0.976 0.089
```

[2]
Diffraction record for CsAg5Te3. The X-ray diffraction stick pattern is computed, not measured: it uses a cell relaxed with PBE and λ = 1.5418 Å (Cu Kα).
Neutral-atom scattering factors, no anomalous dispersion.

Main lines, sorted by position (2θ = 10–90°):
| 2θ/deg | Rel. int. |
| --- | --- |
| 13.46 | 172 |
| 24.20 | 427 |
| 25.83 | 268 |
| 27.24 | 282 |
| 31.72 | 522 |
| 36.22 | 1000 |
| 36.75 | 278 |
| 39.13 | 583 |
| 43.54 | 780 |
| 59.91 | 281 |

Crystal structure
```
CsAg5Te3
1.0
14.713 0.000 0.000
0.000 14.713 0.000
0.000 0.000 4.606
Cs Ag Te
4 20 12
direct
0.113 0.113 0.000
0.387 0.613 0.500
0.613 0.387 0.500
0.887 0.887 0.000
0.017 0.396 0.000
0.081 0.714 0.500
0.104 0.517 0.500
0.177 0.823 0.000
0.214 0.419 0.000
0.286 0.919 0.500
0.323 0.323 0.500
0.396 0.017 0.000
0.419 0.214 0.000
0.483 0.896 0.500
0.517 0.104 0.500
0.581 0.786 0.000
0.604 0.983 0.000
0.677 0.677 0.500
0.714 0.081 0.500
0.786 0.581 0.000
0.823 0.177 0.000
0.896 0.483 0.500
0.919 0.286 0.500
0.983 0.604 0.000
0.098 0.902 0.500
0.118 0.326 0.500
0.174 0.618 0.000
0.326 0.118 0.500
0.382 0.826 0.000
0.402 0.402 0.000
0.598 0.598 0.000
0.618 0.174 0.000
0.674 0.882 0.500
0.826 0.382 0.000
0.882 0.674 0.500
0.902 0.098 0.500
```

[3]
Diffraction record for HoErTlFe2. The X-ray diffraction stick pattern is computed, not measured: it uses a cell relaxed with PBE and λ = 1.5418 Å (Cu Kα).
Neutral-atom scattering factors, no anomalous dispersion.

Main lines, sorted by position (2θ = 10–90°):
| 2θ/deg | Rel. int. |
| --- | --- |
| 30.62 | 537 |
| 33.54 | 1000 |
| 34.63 | 769 |
| 40.50 | 268 |
| 46.24 | 221 |
| 48.14 | 198 |
| 56.48 | 200 |
| 57.78 | 192 |
| 60.65 | 305 |
| 63.12 | 142 |

Crystal structure
```
HoErTlFe2
1.0
3.927 0.000 0.000
0.000 3.780 0.000
0.000 0.000 13.785
Ho Er Tl Fe
2 2 2 4
direct
0.000 0.000 0.000
0.000 0.500 0.500
0.000 0.000 0.280
0.000 0.500 0.780
0.500 0.000 0.640
0.500 0.500 0.140
0.500 0.000 0.430
0.500 0.000 0.849
0.500 0.500 0.349
0.500 0.500 0.930
```

[4]
Diffraction record for SrTm2O4. The X-ray diffraction stick pattern is computed, not measured: it uses a cell relaxed with PBE and λ = 1.5418 Å (Cu Kα).
Neutral-atom scattering factors, no anomalous dispersion.

Main lines, sorted by position (2θ = 10–90°):
| 2θ/deg | Rel. int. |
| --- | --- |
| 30.45 | 484 |
| 30.98 | 1000 |
| 32.02 | 902 |
| 32.19 | 424 |
| 44.90 | 415 |
| 45.40 | 256 |
| 55.11 | 187 |
| 55.66 | 236 |
| 55.98 | 178 |
| 64.22 | 286 |

Crystal structure
```
SrTm2O4
1.0
9.946 0.000 0.000
0.000 3.354 0.000
0.000 0.000 11.742
Sr Tm O
4 8 16
direct
0.247 0.250 0.150
0.253 0.750 0.650
0.747 0.250 0.350
0.753 0.750 0.850
0.077 0.250 0.388
0.077 0.250 0.890
0.423 0.750 0.390
0.423 0.750 0.888
0.577 0.250 0.112
0.577 0.250 0.610
0.923 0.750 0.110
0.923 0.750 0.612
0.015 0.750 0.783
0.074 0.250 0.577
0.124 0.750 0.019
0.211 0.750 0.328
0.289 0.250 0.828
0.376 0.250 0.519
0.426 0.750 0.077
0.485 0.250 0.283
0.515 0.750 0.717
0.574 0.250 0.923
0.624 0.750 0.481
0.711 0.750 0.172
0.789 0.250 0.672
0.876 0.250 0.981
0.926 0.750 0.423
0.985 0.250 0.217
```

[5]
Diffraction record for Ir9Pb2. The X-ray diffraction stick pattern is computed, not measured: it uses a cell relaxed with PBE and λ = 1.5418 Å (Cu Kα).
Neutral-atom scattering factors, no anomalous dispersion.

Main lines, sorted by position (2θ = 10–90°):
| 2θ/deg | Rel. int. |
| --- | --- |
| 38.70 | 1000 |
| 39.64 | 495 |
| 40.81 | 353 |
| 44.83 | 386 |
| 46.43 | 544 |
| 65.64 | 325 |
| 67.34 | 191 |
| 78.86 | 131 |
| 80.24 | 272 |
| 84.15 | 101 |

Crystal structure
```
Ir9Pb2
1.0
2.845 0.000 0.000
-1.423 2.464 0.000
0.000 0.000 35.370
Ir Pb
9 2
direct
0.000 0.000 0.000
0.000 0.000 0.186
0.000 0.000 0.814
0.333 0.667 0.124
0.333 0.667 0.753
0.333 0.667 0.938
0.667 0.333 0.062
0.667 0.333 0.247
0.667 0.333 0.876
0.333 0.667 0.319
0.667 0.333 0.681
```

[6]
Diffraction record for ErTmFe2Cl2. The X-ray diffraction stick pattern is computed, not measured: it uses a cell relaxed with PBE and λ = 1.5418 Å (Cu Kα).
Neutral-atom scattering factors, no anomalous dispersion.

Main lines, sorted by position (2θ = 10–90°):
| 2θ/deg | Rel. int. |
| --- | --- |
| 27.34 | 353 |
| 28.55 | 142 |
| 31.92 | 599 |
| 36.93 | 1000 |
| 48.33 | 358 |
| 50.11 | 145 |
| 62.34 | 211 |
| 65.30 | 136 |
| 71.99 | 170 |
| 82.59 | 191 |

Crystal structure
```
ErTmFe2Cl2
1.0
3.766 0.000 0.000
-1.883 3.262 0.000
0.000 0.000 10.970
Er Tm Fe Cl
1 1 2 2
direct
0.000 0.000 0.000
0.000 0.000 0.639
0.333 0.667 0.829
0.667 0.333 0.810
0.333 0.667 0.483
0.667 0.333 0.157
```